The following is a simulated XRD peak list of Mn4Be3Ge3SeO12. It was derived from a PBE+U-relaxed structure, using CuKα.

Peak list (10 most intense, 5 to 70 degrees two-theta, by intensity)
25.32°, rel. 100, hkl 2 1 1
39.12°, rel. 43, hkl 3 2 1
23.08°, rel. 38, hkl 2 1 0
44.62°, rel. 31, hkl 3 3 0
66.96°, rel. 18, hkl 5 3 2
60.82°, rel. 15, hkl 4 4 0
48.42°, rel. 13, hkl 4 2 1
47.18°, rel. 13, hkl 4 2 0
37.64°, rel. 13, hkl 3 2 0
64.95°, rel. 12, hkl 6 0 0

Structure:
```
46
Lattice="8.6153 0.0000 0.0000 0.0000 8.6153 0.0000 0.0000 0.0000 8.6153" Properties=species:S:1:pos:R:3 pbc="T T T"
Mn 1.4997 1.4997 1.4997
Mn 1.4997 7.1156 7.1156
Mn 2.8079 2.8079 5.8073
Mn 2.8079 5.8073 2.8079
Mn 5.8073 2.8079 2.8079
Mn 5.8073 5.8073 5.8073
Mn 7.1156 1.4997 7.1156
Mn 7.1156 7.1156 1.4997
Be 0.0000 2.1538 4.3076
Be 0.0000 6.4615 4.3076
Be 2.1538 4.3076 0.0000
Be 4.3076 0.0000 2.1538
Be 4.3076 0.0000 6.4615
Be 6.4615 4.3076 0.0000
Ge 0.0000 4.3076 2.1538
Ge 0.0000 4.3076 6.4615
Ge 2.1538 0.0000 4.3076
Ge 4.3076 2.1538 0.0000
Ge 4.3076 6.4615 0.0000
Ge 6.4615 0.0000 4.3076
Se 0.0000 0.0000 0.0000
Se 4.3076 4.3076 4.3076
O 0.7526 3.0371 5.4821
O 0.7526 5.5782 3.1332
O 1.1744 1.2706 3.5550
O 1.1744 7.3447 5.0603
O 1.2706 3.5550 1.1744
O 1.2706 5.0603 7.4408
O 3.0371 3.1332 7.8627
O 3.0371 5.4821 0.7526
O 3.1332 0.7526 5.5782
O 3.1332 7.8627 3.0371
O 3.5550 1.1744 1.2706
O 3.5550 7.4408 7.3447
O 5.0603 1.1744 7.3447
O 5.0603 7.4408 1.2706
O 5.4821 0.7526 3.0371
O 5.4821 7.8627 5.5782
O 5.5782 3.1332 0.7526
O 5.5782 5.4821 7.8627
O 7.3447 3.5550 7.4408
O 7.3447 5.0603 1.1744
O 7.4408 1.2706 5.0603
O 7.4408 7.3447 3.5550
O 7.8627 3.0371 3.1332
O 7.8627 5.5782 5.4821
```